No. 1
LiPm2CoO6: theoretical PXRD pattern (CuKα), based on a DFT-relaxed cell (GGA+U, Alexandria).

Principal peaks in the range 2θ from 10° to 90°, low angle first:
2θ = 23.1°, rel. 82
2θ = 23.4°, rel. 52
2θ = 32.1°, rel. 36
2θ = 33.0°, rel. 99
2θ = 33.2°, rel. 100
2θ = 33.7°, rel. 54
2θ = 34.3°, rel. 38
2θ = 47.2°, rel. 41
2θ = 47.9°, rel. 34
2θ = 60.1°, rel. 34

Structure:
```
data_LiPm2CoO6
_cell_length_a 5.324
_cell_length_b 5.578
_cell_length_c 9.242
_cell_angle_alpha 90.00
_cell_angle_beta 124.74
_cell_angle_gamma 90.00
_space_group_name_H-M_alt 'P 1 21/c 1'
_space_group_IT_number 14
loop_
_space_group_symop_operation_xyz
'x,y,z'
'-x,-y,-z'
'-x,y+1/2,-z+1/2'
'x,-y+1/2,z+1/2'
loop_
_atom_site_label
_atom_site_type_symbol
_atom_site_fract_x
_atom_site_fract_y
_atom_site_fract_z
_atom_site_occupancy
Li1 Li 0.000 0.000 0.000 1
Pm1 Pm 0.233 0.065 0.748 1
Co1 Co 0.500 0.000 0.500 1
O1 O 0.173 0.191 0.459 1
O2 O 0.273 0.723 0.457 1
O3 O 0.339 0.019 0.260 1
```

---

No. 2
Li2Pr2CoO6: theoretical PXRD pattern (CuKα), based on a DFT-relaxed cell (GGA+U, Alexandria).

Principal peaks in the range 2θ from 10° to 90°, low angle first:
2θ = 19.6°, rel. 42
2θ = 22.4°, rel. 63
2θ = 31.6°, rel. 64
2θ = 32.3°, rel. 100
2θ = 37.1°, rel. 45
2θ = 39.7°, rel. 47
2θ = 45.8°, rel. 50
2θ = 57.2°, rel. 25
2θ = 60.8°, rel. 26
2θ = 69.1°, rel. 25

Structure:
```
data_Li2Pr2CoO6
_cell_length_a 5.5365
_cell_length_b 5.5365
_cell_length_c 14.0517
_cell_angle_alpha 90.00
_cell_angle_beta 90.00
_cell_angle_gamma 120.00
_space_group_name_H-M_alt 'R -3 m'
_space_group_IT_number 166
_space_group_name_Hall '-R 3 2"'
loop_
_atom_site_label
_atom_site_type_symbol
_atom_site_fract_x
_atom_site_fract_y
_atom_site_fract_z
_atom_site_occupancy
Li1 Li 0.0000 0.0000 0.0720 1
Pr1 Pr 0.0000 0.0000 0.2755 1
Co1 Co 0.0000 0.0000 0.5000 1
O1 O 0.0287 0.5143 0.2501 1
```

---

No. 3
LiPuCo2O6: theoretical PXRD pattern (CuKα), based on a DFT-relaxed cell (GGA+U, Alexandria).

Principal peaks in the range 2θ from 10° to 90°, low angle first:
2θ = 15.1°, rel. 100
2θ = 21.4°, rel. 90
2θ = 26.3°, rel. 56
2θ = 30.5°, rel. 45
2θ = 34.2°, rel. 28
2θ = 37.5°, rel. 30
2θ = 40.7°, rel. 36
2θ = 43.6°, rel. 43
2θ = 49.1°, rel. 40
2θ = 63.4°, rel. 26

Structure:
```
data_LiPuCo2O6
_cell_length_a 5.865
_cell_length_b 5.865
_cell_length_c 4.155
_cell_angle_alpha 90.00
_cell_angle_beta 90.00
_cell_angle_gamma 90.00
_space_group_name_H-M_alt 'P 4 m m'
_space_group_IT_number 99
loop_
_space_group_symop_operation_xyz
'x,y,z'
'-y,x,z'
'-x,-y,z'
'y,-x,z'
'-x,y,z'
'y,x,z'
'x,-y,z'
'-y,-x,z'
loop_
_atom_site_label
_atom_site_type_symbol
_atom_site_fract_x
_atom_site_fract_y
_atom_site_fract_z
_atom_site_occupancy
Li1 Li 0.000 0.000 0.000 1
Pu1 Pu 0.500 0.500 0.008 1
Co1 Co 0.000 0.500 0.027 1
O1 O 0.000 0.000 0.502 1
O2 O 0.252 0.252 0.014 1
O3 O 0.500 0.500 0.509 1
```

---

No. 4
LiPuCo2O8: theoretical PXRD pattern (CuKα), based on a DFT-relaxed cell (GGA+U, Alexandria).

Principal peaks in the range 2θ from 10° to 90°, low angle first:
2θ = 18.7°, rel. 92
2θ = 18.9°, rel. 100
2θ = 26.5°, rel. 99
2θ = 32.8°, rel. 41
2θ = 33.3°, rel. 85
2θ = 38.4°, rel. 30
2θ = 42.5°, rel. 20
2θ = 42.6°, rel. 19
2θ = 51.2°, rel. 66
2θ = 65.4°, rel. 19

Structure:
```
data_LiPuCo2O8
_cell_length_a 6.727
_cell_length_b 6.727
_cell_length_c 6.536
_cell_angle_alpha 90.00
_cell_angle_beta 90.00
_cell_angle_gamma 90.00
_space_group_name_H-M_alt 'I -4 m 2'
_space_group_IT_number 119
_space_group_name_Hall 'I -4 -2'
loop_
_atom_site_label
_atom_site_type_symbol
_atom_site_fract_x
_atom_site_fract_y
_atom_site_fract_z
_atom_site_occupancy
Li1 Li 0.000 0.000 0.000 1
Pu1 Pu 0.000 0.500 0.250 1
Co1 Co 0.000 0.000 0.500 1
Co2 Co 0.000 0.500 0.750 1
O1 O 0.000 0.215 0.312 1
O2 O 0.000 0.319 0.931 1
```